The following is a simulated XRD peak list of Te4As2I2O. It was derived from a DFT-relaxed cell (GGA-PBE, Alexandria), using Cu Kα (λ = 1.5418 Å).
No peak broadening, texture or thermal motion is included.

Crystal structure
```
9
Lattice="6.927 0.000 0.000 3.364 6.245 0.000 3.216 0.945 8.936" Properties=species:S:1:pos:R:3 pbc="T T T"
Te 0.000 0.000 0.000
Te 5.894 6.136 4.967
Te 3.359 1.640 0.201
Te 7.308 3.896 0.392
As 4.406 2.946 7.671
As 11.133 6.901 7.786
I 8.555 6.154 3.992
I 9.012 2.645 4.663
O 4.918 5.396 3.615
```

Principal peaks in the range 5° ≤ 2θ ≤ 70°, in order of rising 2θ:
Position (°2θ), Rel. int., hkl
15.70, 24, 1 1 0
19.87, 100, 0 0 2
20.69, 26, 1 1 2
27.39, 34, 2 1 0
27.74, 36, -1 1 1
27.88, 46, 2 1 2
28.72, 25, 1 1 3
30.38, 26, 1 2 -1